# 1
Theoretical powder diffraction line list of ZrMnO3 for λ = 1.5418 Å (Cu Kα), from a crystal structure in the Materials Project, relaxed with GGA+U.
Peak positions follow from Bragg's law for the DFT cell and can differ from measured ones.

The 8 most intense peaks (10 to 90 degrees two-theta), sorted by position:
2θ/deg  d/Å  I/Imax
22.3  3.978  41
30.9  2.896  100
32.7  2.736  79
45.6  1.989  43
50.1  1.821  39
53.7  1.707  13
57.3  1.609  37
58.4  1.580  30

Cell and atoms:
abc: 5.813 5.813 5.813
angles: 56.16 56.16 56.16
Element x y z (fractional)
1 Zr 0.000 0.000 0.000
2 Zr 0.500 0.500 0.500
3 Mn 0.216 0.216 0.216
4 Mn 0.716 0.716 0.716
5 O 0.124 0.789 0.390
6 O 0.289 0.624 0.890
7 O 0.390 0.124 0.789
8 O 0.624 0.890 0.289
9 O 0.789 0.390 0.124
10 O 0.890 0.289 0.624



# 2
Theoretical powder diffraction line list of ZrMnO3 for λ = 1.5418 Å (Cu Kα), from a crystal structure in the Materials Project, relaxed with GGA+U.
Peak positions follow from Bragg's law for the DFT cell and can differ from measured ones.

The 8 most intense peaks (10 to 90 degrees two-theta), sorted by position:
2θ/deg  d/Å  I/Imax
22.3  3.991  24
30.8  2.903  100
32.6  2.748  83
37.6  2.395  20
45.5  1.996  41
50.0  1.825  41
57.0  1.615  38
58.1  1.587  32

Cell and atoms:
abc: 5.824 5.824 5.824
angles: 56.31 56.31 56.31
Element x y z (fractional)
1 Zr 0.145 0.145 0.145
2 Zr 0.855 0.855 0.855
3 Mn 0.359 0.359 0.359
4 Mn 0.641 0.641 0.641
5 O 0.045 0.768 0.447
6 O 0.232 0.553 0.955
7 O 0.447 0.045 0.768
8 O 0.553 0.955 0.232
9 O 0.768 0.447 0.045
10 O 0.955 0.232 0.553



# 3
Theoretical powder diffraction line list of Na5MoNO4 for λ = 1.5418 Å (Cu Kα), from a crystal structure in the Materials Project, relaxed with GGA+U.
Peak positions follow from Bragg's law for the DFT cell and can differ from measured ones.

The 8 most intense peaks (10 to 90 degrees two-theta), sorted by position:
2θ/deg  d/Å  I/Imax
16.4  5.420  29
19.4  4.571  100
24.3  3.666  22
32.1  2.789  18
33.1  2.710  17
34.9  2.573  29
35.2  2.547  37
40.0  2.255  35

Cell and atoms:
abc: 5.773 5.773 10.841
angles: 90.00 90.00 60.84
Element x y z (fractional)
1 Na 0.000 0.000 0.000
2 Na 0.000 0.000 0.500
3 Na 0.045 0.331 0.250
4 Na 0.309 0.309 0.000
5 Na 0.309 0.309 0.500
6 Na 0.331 0.045 0.750
7 Na 0.669 0.955 0.250
8 Na 0.691 0.691 0.000
9 Na 0.691 0.691 0.500
10 Na 0.955 0.669 0.750
11 Mo 0.292 0.708 0.250
12 Mo 0.708 0.292 0.750
13 N 0.407 0.593 0.750
14 N 0.593 0.407 0.250
15 O 0.059 0.665 0.127
16 O 0.059 0.665 0.373
17 O 0.335 0.941 0.127
18 O 0.335 0.941 0.373
19 O 0.665 0.059 0.627
20 O 0.665 0.059 0.873
21 O 0.941 0.335 0.627
22 O 0.941 0.335 0.873



# 4
Theoretical powder diffraction line list of Na4MoN2O2 for λ = 1.5418 Å (Cu Kα), from a crystal structure in the Materials Project, relaxed with GGA+U.
Peak positions follow from Bragg's law for the DFT cell and can differ from measured ones.

The 8 most intense peaks (10 to 90 degrees two-theta), sorted by position:
2θ/deg  d/Å  I/Imax
17.0  5.225  100
18.9  4.706  81
19.0  4.678  76
19.2  4.625  78
32.2  2.776  80
32.4  2.760  78
36.7  2.447  75
37.3  2.412  74

Cell and atoms:
abc: 5.917 5.951 8.985
angles: 82.81 71.52 68.88
Element x y z (fractional)
1 Na 0.021 0.260 0.443
2 Na 0.113 0.724 0.184
3 Na 0.260 0.238 0.015
4 Na 0.444 0.242 0.598
5 Na 0.556 0.758 0.402
6 Na 0.740 0.762 0.985
7 Na 0.887 0.276 0.816
8 Na 0.979 0.740 0.557
9 Mo 0.342 0.720 0.762
10 Mo 0.658 0.280 0.238
11 N 0.205 0.962 0.638
12 N 0.343 0.457 0.354
13 N 0.657 0.543 0.646
14 N 0.795 0.038 0.362
15 O 0.140 0.516 0.814
16 O 0.350 0.844 0.945
17 O 0.650 0.156 0.055
18 O 0.860 0.484 0.186



# 5
Theoretical powder diffraction line list of NaMo3NO10 for λ = 1.5418 Å (Cu Kα), from a crystal structure in the Materials Project, relaxed with GGA+U.
Peak positions follow from Bragg's law for the DFT cell and can differ from measured ones.

The 8 most intense peaks (10 to 90 degrees two-theta), sorted by position:
2θ/deg  d/Å  I/Imax
11.7  7.583  100
11.8  7.488  22
13.0  6.835  21
16.4  5.397  31
23.8  3.744  19
28.0  3.185  54
31.5  2.838  22
47.3  1.921  17

Cell and atoms:
abc: 8.794 7.682 14.977
angles: 90.00 90.00 90.00
Element x y z (fractional)
1 Na 0.029 0.250 0.188
2 Na 0.471 0.750 0.688
3 Na 0.529 0.250 0.312
4 Na 0.971 0.750 0.812
5 Mo 0.117 0.000 0.608
6 Mo 0.117 0.500 0.608
7 Mo 0.200 0.250 0.426
8 Mo 0.300 0.750 0.926
9 Mo 0.383 0.000 0.108
10 Mo 0.383 0.500 0.108
11 Mo 0.617 0.000 0.892
12 Mo 0.617 0.500 0.892
13 Mo 0.700 0.250 0.074
14 Mo 0.800 0.750 0.574
15 Mo 0.883 0.000 0.392
16 Mo 0.883 0.500 0.392
17 N 0.142 0.250 0.896
18 N 0.358 0.750 0.396
19 N 0.642 0.250 0.604
20 N 0.858 0.750 0.104
21 O 0.054 0.023 0.717
22 O 0.054 0.477 0.717
23 O 0.064 0.750 0.592
24 O 0.114 0.750 0.961
25 O 0.118 0.250 0.574
26 O 0.122 0.015 0.453
27 O 0.122 0.485 0.453
28 O 0.189 0.038 0.117
29 O 0.189 0.462 0.117
30 O 0.219 0.250 0.309
31 O 0.281 0.750 0.809
32 O 0.311 0.538 0.617
33 O 0.311 0.962 0.617
34 O 0.378 0.515 0.953
35 O 0.378 0.985 0.953
36 O 0.382 0.750 0.074
37 O 0.386 0.250 0.461
38 O 0.436 0.250 0.092
39 O 0.446 0.523 0.217
40 O 0.446 0.977 0.217
41 O 0.554 0.023 0.783
42 O 0.554 0.477 0.783
43 O 0.564 0.750 0.908
44 O 0.614 0.750 0.539
45 O 0.618 0.250 0.926
46 O 0.622 0.015 0.047
47 O 0.622 0.485 0.047
48 O 0.689 0.038 0.383
49 O 0.689 0.462 0.383
50 O 0.719 0.250 0.191
51 O 0.781 0.750 0.691
52 O 0.811 0.538 0.883
53 O 0.811 0.962 0.883
54 O 0.878 0.515 0.547
55 O 0.878 0.985 0.547
56 O 0.882 0.750 0.426
57 O 0.886 0.250 0.039
58 O 0.936 0.250 0.408
59 O 0.946 0.523 0.283
60 O 0.946 0.977 0.283



# 6
Theoretical powder diffraction line list of Mo3SeN2O12 for λ = 1.5418 Å (Cu Kα), from a crystal structure in the Materials Project, relaxed with GGA+U.
Peak positions follow from Bragg's law for the DFT cell and can differ from measured ones.

The 8 most intense peaks (10 to 90 degrees two-theta), sorted by position:
2θ/deg  d/Å  I/Imax
12.6  7.051  100
14.0  6.333  59
15.3  5.777  61
25.3  3.525  37
27.5  3.246  49
28.9  3.088  97
31.0  2.889  33
49.9  1.828  24

Cell and atoms:
abc: 7.313 7.313 14.102
angles: 90.00 90.00 120.00
Element x y z (fractional)
1 Mo 0.149 0.342 0.000
2 Mo 0.194 0.851 0.000
3 Mo 0.342 0.194 0.500
4 Mo 0.658 0.806 0.000
5 Mo 0.806 0.149 0.500
6 Mo 0.851 0.658 0.500
7 Se 0.000 0.000 0.204
8 Se 0.000 0.000 0.704
9 N 0.333 0.667 0.304
10 N 0.333 0.667 0.676
11 N 0.667 0.333 0.176
12 N 0.667 0.333 0.804
13 O 0.092 0.554 0.040
14 O 0.114 0.239 0.519
15 O 0.125 0.886 0.519
16 O 0.127 0.258 0.204
17 O 0.131 0.873 0.204
18 O 0.168 0.373 0.880
19 O 0.205 0.832 0.880
20 O 0.239 0.125 0.019
21 O 0.258 0.131 0.704
22 O 0.373 0.205 0.380
23 O 0.446 0.538 0.040
24 O 0.462 0.908 0.040
25 O 0.538 0.092 0.540
26 O 0.554 0.462 0.540
27 O 0.627 0.795 0.880
28 O 0.742 0.869 0.204
29 O 0.761 0.875 0.519
30 O 0.795 0.168 0.380
31 O 0.832 0.627 0.380
32 O 0.869 0.127 0.704
33 O 0.873 0.742 0.704
34 O 0.875 0.114 0.019
35 O 0.886 0.761 0.019
36 O 0.908 0.446 0.540



Question: Which formula does entry 2 have?
Answer: ZrMnO3



Repeat the sixth record exactly.
Theoretical powder diffraction line list of Mo3SeN2O12 for λ = 1.5418 Å (Cu Kα), from a crystal structure in the Materials Project, relaxed with GGA+U.
Peak positions follow from Bragg's law for the DFT cell and can differ from measured ones.

The 8 most intense peaks (10 to 90 degrees two-theta), sorted by position:
2θ/deg  d/Å  I/Imax
12.6  7.051  100
14.0  6.333  59
15.3  5.777  61
25.3  3.525  37
27.5  3.246  49
28.9  3.088  97
31.0  2.889  33
49.9  1.828  24

Cell and atoms:
abc: 7.313 7.313 14.102
angles: 90.00 90.00 120.00
Element x y z (fractional)
1 Mo 0.149 0.342 0.000
2 Mo 0.194 0.851 0.000
3 Mo 0.342 0.194 0.500
4 Mo 0.658 0.806 0.000
5 Mo 0.806 0.149 0.500
6 Mo 0.851 0.658 0.500
7 Se 0.000 0.000 0.204
8 Se 0.000 0.000 0.704
9 N 0.333 0.667 0.304
10 N 0.333 0.667 0.676
11 N 0.667 0.333 0.176
12 N 0.667 0.333 0.804
13 O 0.092 0.554 0.040
14 O 0.114 0.239 0.519
15 O 0.125 0.886 0.519
16 O 0.127 0.258 0.204
17 O 0.131 0.873 0.204
18 O 0.168 0.373 0.880
19 O 0.205 0.832 0.880
20 O 0.239 0.125 0.019
21 O 0.258 0.131 0.704
22 O 0.373 0.205 0.380
23 O 0.446 0.538 0.040
24 O 0.462 0.908 0.040
25 O 0.538 0.092 0.540
26 O 0.554 0.462 0.540
27 O 0.627 0.795 0.880
28 O 0.742 0.869 0.204
29 O 0.761 0.875 0.519
30 O 0.795 0.168 0.380
31 O 0.832 0.627 0.380
32 O 0.869 0.127 0.704
33 O 0.873 0.742 0.704
34 O 0.875 0.114 0.019
35 O 0.886 0.761 0.019
36 O 0.908 0.446 0.540